Structure and calculated X-ray diffraction stick pattern of Tm2Lu2B3C4 (DFT lattice parameters and positions (PBE); Cu Ka).
Kinematic intensities with the Lorentz-polarization factor, no thermal factor.

Top 10 peaks for 2θ = 5–70°, sorted by position:
2theta	intensity	h k l
26.1	43	0 1 -1
26.8	56	0 1 1
28.9	63	1 0 -2
30.6	96	0 0 4
31.8	63	1 0 2
33.5	80	0 1 -3
35.2	57	0 1 3
36.9	100	1 1 0
37.1	60	-1 1 1
38.4	36	1 0 -4

Atomic structure:
a b c (Å): 3.4264 3.5189 11.7673
angles (deg): 92.71 96.09 90.15
Atoms (fractional coordinates):
Tm1 0.1950 0.4754 0.3499
Tm2 0.8050 0.5246 0.6501
Lu1 0.3848 0.0534 0.8591
Lu2 0.6152 0.9466 0.1409
B1 0.0000 0.5000 0.0000
B2 0.2656 0.0070 0.5404
B3 0.7344 0.9930 0.4596
C1 0.1129 0.4367 0.1214
C2 0.3124 0.0278 0.6691
C3 0.6876 0.9722 0.3309
C4 0.8871 0.5633 0.8786


Structure and calculated X-ray diffraction stick pattern of Tm2Lu2B3C4 (DFT lattice parameters and positions (PBE); Cu Ka).
Kinematic intensities with the Lorentz-polarization factor, no thermal factor.

Top 10 peaks for 2θ = 5–70°, sorted by position:
2theta	intensity	h k l
15.1	35	0 0 2
26.2	44	0 1 -1
26.8	57	0 1 1
28.9	66	1 0 -2
30.6	99	0 0 4
31.8	64	1 0 2
33.5	82	0 1 -3
35.2	59	0 1 3
36.9	100	1 1 0
37.1	61	-1 1 1

Atomic structure:
a b c (Å): 3.4245 3.5147 11.7841
angles (deg): 92.63 96.13 90.17
Atoms (fractional coordinates):
Tm1 0.1148 0.4468 0.1405
Tm2 0.8852 0.5532 0.8595
Lu1 0.3050 0.0246 0.6501
Lu2 0.6950 0.9754 0.3499
B1 0.2345 0.4930 0.4599
B2 0.5000 0.0000 0.0000
B3 0.7655 0.5070 0.5401
C1 0.1878 0.4722 0.3314
C2 0.3875 0.0629 0.8787
C3 0.6125 0.9371 0.1213
C4 0.8122 0.5278 0.6686